1.
Structure and theoretical powder X-ray diffraction pattern of RbSr2In2Br7 (a cell relaxed with GGA-PBE; Cu Ka).
Neutral-atom scattering factors, no anomalous dispersion.

Structure:
```
RbSr2In2Br7
1.0
-3.108 13.136 3.161
3.108 -13.136 3.161
3.108 13.136 -3.161
Rb Sr In Br
1 2 2 7
Cartesian
0.000 0.000 0.000
0.000 10.169 0.907
0.000 16.103 0.907
3.108 6.329 0.952
0.000 6.807 4.113
3.108 -3.081 0.948
3.108 3.081 0.948
0.000 7.128 0.949
3.108 10.266 1.001
0.000 13.136 1.384
0.000 2.869 4.162
0.000 19.144 0.949
```

Main lines, in order of rising 2θ (2θ = 10–90°):
2θ = 14.4°, I 28
2θ = 27.2°, I 58
2θ = 28.2°, I 60
2θ = 28.7°, I 100
2θ = 39.6°, I 29
2θ = 39.9°, I 45
2θ = 40.7°, I 44
2θ = 49.6°, I 30



2.
Structure and theoretical powder X-ray diffraction pattern of RbZnInBr4 (a cell relaxed with GGA-PBE; Cu Ka).
Neutral-atom scattering factors, no anomalous dispersion.

Structure:
```
RbZnInBr4
1.0
7.482 0.000 0.000
0.000 7.550 0.000
-2.859 0.000 9.172
Rb Zn In Br
2 2 2 8
Cartesian
1.488 1.887 0.376
3.135 5.662 8.796
-0.634 5.662 7.160
5.257 1.887 2.011
0.330 1.887 5.076
4.293 5.662 4.095
-0.777 3.784 2.613
-0.777 7.540 2.613
2.536 5.662 0.392
1.378 5.662 5.827
3.245 1.887 3.345
2.087 1.887 8.780
5.400 0.010 6.558
5.400 3.765 6.558
```

Main lines, in order of rising 2θ (2θ = 10–90°):
2θ = 23.6°, I 36
2θ = 26.0°, I 43
2θ = 26.7°, I 100
2θ = 28.6°, I 49
2θ = 29.2°, I 55
2θ = 30.7°, I 46
2θ = 30.9°, I 35
2θ = 34.6°, I 54



3.
Structure and theoretical powder X-ray diffraction pattern of In2S2Br (a cell relaxed with GGA-PBE; Cu Ka).
Neutral-atom scattering factors, no anomalous dispersion.

Structure:
```
In2S2Br
1.0
-4.250 4.250 5.249
4.250 -4.250 5.249
4.250 4.250 -5.249
In S Br
4 4 2
Cartesian
0.000 2.516 0.000
0.000 5.984 0.000
2.516 4.250 2.625
1.734 0.000 7.874
1.899 4.250 0.139
2.351 0.000 5.388
4.250 2.351 2.763
0.000 1.899 8.013
0.000 0.000 1.109
0.000 4.250 3.734
```

Main lines, in order of rising 2θ (2θ = 10–90°):
2θ = 13.4°, I 100
2θ = 22.5°, I 16
2θ = 24.9°, I 29
2θ = 27.0°, I 24
2θ = 27.6°, I 34
2θ = 32.7°, I 16
2θ = 39.2°, I 34
2θ = 45.9°, I 27



4.
Structure and theoretical powder X-ray diffraction pattern of In5S5Br (a cell relaxed with GGA-PBE; Cu Ka).
Neutral-atom scattering factors, no anomalous dispersion.

Structure:
```
In5S5Br
1.0
3.990 0.000 0.000
0.000 9.210 0.000
0.000 0.000 15.251
In S Br
10 10 2
Cartesian
0.000 0.219 0.000
0.000 2.932 0.720
0.000 3.508 9.856
0.000 5.816 12.945
0.000 8.266 4.140
1.995 0.943 11.765
1.995 3.394 5.320
1.995 5.702 2.230
1.995 6.278 8.345
1.995 8.991 7.625
0.000 0.599 6.224
0.000 2.480 12.311
0.000 4.097 3.004
0.000 4.831 7.573
0.000 7.416 1.639
1.995 1.794 9.265
1.995 4.379 15.198
1.995 5.112 10.630
1.995 6.730 4.686
1.995 8.610 13.850
0.000 8.268 10.765
1.995 0.941 3.140
```

Main lines, in order of rising 2θ (2θ = 10–90°):
2θ = 19.9°, I 40
2θ = 25.3°, I 48
2θ = 26.1°, I 59
2θ = 27.0°, I 61
2θ = 30.1°, I 45
2θ = 31.9°, I 100
2θ = 37.1°, I 45
2θ = 45.5°, I 46



5.
Structure and theoretical powder X-ray diffraction pattern of InSBr2 (a cell relaxed with GGA-PBE; Cu Ka).
Neutral-atom scattering factors, no anomalous dispersion.

Structure:
```
InSBr2
1.0
6.367 0.000 0.000
2.631 5.809 0.000
2.106 0.372 7.140
In S Br
2 2 4
Cartesian
0.000 0.000 0.000
4.499 2.904 0.000
4.039 3.677 6.408
7.064 2.504 0.732
3.850 4.538 2.112
6.850 5.487 5.566
4.253 0.694 1.574
7.253 1.643 5.028
```

Main lines, in order of rising 2θ (2θ = 10–90°):
2θ = 12.4°, I 100
2θ = 17.2°, I 46
2θ = 18.3°, I 45
2θ = 28.5°, I 21
2θ = 29.0°, I 24
2θ = 34.0°, I 20
2θ = 34.1°, I 33
2θ = 37.0°, I 21



6.
Structure and theoretical powder X-ray diffraction pattern of InSnSBr (a cell relaxed with GGA-PBE; Cu Ka).
Neutral-atom scattering factors, no anomalous dispersion.

Structure:
```
InSnSBr
1.0
2.567 1.482 12.005
-2.567 1.482 12.005
0.000 -2.964 12.005
In Sn S Br
2 2 2 2
Cartesian
0.000 0.000 7.637
0.000 0.000 28.377
0.000 0.000 13.362
0.000 0.000 22.652
0.000 0.000 10.775
0.000 0.000 25.239
0.000 0.000 3.621
0.000 0.000 32.393
```

Main lines, in order of rising 2θ (2θ = 10–90°):
2θ = 20.6°, I 40
2θ = 22.3°, I 36
2θ = 26.5°, I 73
2θ = 29.8°, I 22
2θ = 32.0°, I 30
2θ = 35.0°, I 100
2θ = 46.6°, I 39
2θ = 52.5°, I 21



7.
Structure and theoretical powder X-ray diffraction pattern of InSb2Br (a cell relaxed with GGA-PBE; Cu Ka).
Neutral-atom scattering factors, no anomalous dispersion.

Structure:
```
InSb2Br
1.0
3.371 0.000 0.000
0.000 6.129 0.000
-0.040 0.000 5.864
In Sb Br
1 2 1
Cartesian
0.000 0.000 0.000
1.372 3.064 2.942
1.466 0.000 2.939
1.311 3.064 0.012
```

Main lines, in order of rising 2θ (2θ = 10–90°):
2θ = 26.4°, I 28
2θ = 29.1°, I 81
2θ = 30.3°, I 26
2θ = 30.5°, I 100
2θ = 30.7°, I 28
2θ = 33.9°, I 21
2θ = 42.7°, I 79
2θ = 42.8°, I 22



8.
Structure and theoretical powder X-ray diffraction pattern of ScInBr2 (a cell relaxed with GGA-PBE; Cu Ka).
Neutral-atom scattering factors, no anomalous dispersion.

Structure:
```
ScInBr2
1.0
6.336 0.000 0.000
0.000 3.620 0.000
-3.136 0.000 5.937
Sc In Br
1 1 2
Cartesian
0.000 0.000 0.000
3.168 0.000 0.000
0.010 1.810 1.947
3.190 1.810 3.990
```

Main lines, in order of rising 2θ (2θ = 10–90°):
2θ = 26.5°, I 60
2θ = 26.6°, I 60
2θ = 28.2°, I 99
2θ = 28.9°, I 100
2θ = 29.4°, I 81
2θ = 39.2°, I 48
2θ = 40.7°, I 38
2θ = 40.8°, I 38



9.
Structure and theoretical powder X-ray diffraction pattern of InSeBr (a cell relaxed with GGA-PBE; Cu Ka).
Neutral-atom scattering factors, no anomalous dispersion.

Structure:
```
InSeBr
1.0
6.822 0.000 0.000
0.000 3.994 0.000
-0.143 0.000 7.069
In Se Br
2 2 2
Cartesian
0.000 0.000 0.000
3.411 1.997 0.000
1.249 1.997 1.450
5.431 1.997 5.618
2.131 0.000 5.285
4.548 0.000 1.784
```

Main lines, in order of rising 2θ (2θ = 10–90°):
2θ = 12.5°, I 76
2θ = 28.9°, I 100
2θ = 36.2°, I 30
2θ = 36.6°, I 28
2θ = 45.4°, I 12
2θ = 45.9°, I 23
2θ = 46.5°, I 20
2θ = 47.3°, I 15



10.
Structure and theoretical powder X-ray diffraction pattern of In5Se5Br (a cell relaxed with GGA-PBE; Cu Ka).
Neutral-atom scattering factors, no anomalous dispersion.

Structure:
```
In5Se5Br
1.0
4.164 0.000 0.000
0.000 9.462 0.000
0.000 0.000 15.799
In Se Br
10 10 2
Cartesian
0.000 0.245 0.000
0.000 2.969 0.730
0.000 3.665 10.264
0.000 6.093 13.385
0.000 8.491 4.295
2.082 0.971 12.194
2.082 3.370 5.486
2.082 5.798 2.364
2.082 6.493 8.630
2.082 9.217 7.899
0.000 0.689 6.441
0.000 2.600 12.839
0.000 4.090 3.178
0.000 4.964 7.815
0.000 7.595 1.712
2.082 1.868 9.611
2.082 4.499 15.715
2.082 5.372 11.077
2.082 6.862 4.939
2.082 8.774 14.340
0.000 8.554 11.189
2.082 0.909 3.289
```

Main lines, in order of rising 2θ (2θ = 10–90°):
2θ = 28.9°, I 61
2θ = 29.5°, I 40
2θ = 29.8°, I 32
2θ = 30.8°, I 100
2θ = 35.7°, I 34
2θ = 36.2°, I 34
2θ = 43.5°, I 50
2θ = 46.8°, I 38



11.
Structure and theoretical powder X-ray diffraction pattern of InSeBr2 (a cell relaxed with GGA-PBE; Cu Ka).
Neutral-atom scattering factors, no anomalous dispersion.

Structure:
```
InSeBr2
1.0
4.945 0.000 0.000
0.000 5.590 0.000
-2.467 0.000 4.908
In Se Br
1 1 2
Cartesian
0.000 0.000 0.000
-0.005 2.795 0.443
0.003 0.000 3.316
2.466 2.795 1.174
```

Main lines, in order of rising 2θ (2θ = 10–90°):
2θ = 18.1°, I 62
2θ = 24.1°, I 96
2θ = 25.7°, I 58
2θ = 32.0°, I 76
2θ = 32.8°, I 100
2θ = 36.3°, I 53
2θ = 46.5°, I 74
2θ = 49.2°, I 44



12.
Structure and theoretical powder X-ray diffraction pattern of InSeBr (a cell relaxed with GGA-PBE; Cu Ka).
Neutral-atom scattering factors, no anomalous dispersion.

Structure:
```
InSeBr
1.0
4.006 0.000 0.000
-2.003 3.470 0.000
0.000 0.000 6.921
In Se Br
1 1 1
Cartesian
0.000 0.000 0.000
0.000 2.313 1.331
2.003 1.157 5.088
```

Main lines, in order of rising 2θ (2θ = 10–90°):
2θ = 12.8°, I 69
2θ = 28.8°, I 100
2θ = 36.7°, I 64
2θ = 45.3°, I 36
2θ = 47.3°, I 45
2θ = 54.5°, I 16
2θ = 59.6°, I 15
2θ = 77.9°, I 16